No. 1
For Zr4HgS8, DFT lattice parameters and positions (GGA-PBE) gives the theoretical powder XRD pattern in this record (a wavelength of 1.5418 Å).
Lines closer than 0.1° are merged.

Top 12 peaks for 10 to 90 degrees two-theta, in order of falling intensity:
2θ = 31.02°, I = 100; 2θ = 14.25°, I = 41; 2θ = 38.92°, I = 40; 2θ = 15.36°, I = 34; 2θ = 19.85°, I = 33; 2θ = 49.43°, I = 30; 2θ = 44.08°, I = 25; 2θ = 19.19°, I = 21; 2θ = 28.74°, I = 21; 2θ = 26.14°, I = 20; 2θ = 36.63°, I = 19; 2θ = 55.96°, I = 18

Crystal structure
```
Zr4HgS8
1.0
3.688 2.129 8.944
-3.688 2.129 8.944
0.000 -4.258 8.944
Zr Hg S
4 1 8
Direct
0.000 0.000 0.000
0.000 0.500 0.500
0.500 0.000 0.500
0.500 0.500 0.000
0.500 0.500 0.500
0.221 0.221 0.721
0.221 0.721 0.221
0.279 0.279 0.279
0.279 0.779 0.779
0.721 0.221 0.221
0.721 0.721 0.721
0.779 0.279 0.779
0.779 0.779 0.279
```

No. 2
For Pu2Pa4Al, DFT lattice parameters and positions (GGA-PBE) gives the theoretical powder XRD pattern in this record (a wavelength of 1.5418 Å).
Lines closer than 0.1° are merged.

Top 12 peaks for 10 to 90 degrees two-theta, in order of falling intensity:
2θ = 35.87°, I = 100; 2θ = 35.28°, I = 39; 2θ = 38.79°, I = 29; 2θ = 22.03°, I = 23; 2θ = 43.79°, I = 19; 2θ = 64.46°, I = 19; 2θ = 75.10°, I = 17; 2θ = 24.29°, I = 15; 2θ = 64.08°, I = 14; 2θ = 51.19°, I = 14; 2θ = 66.41°, I = 13; 2θ = 76.02°, I = 12

Crystal structure
```
Pu2Pa4Al
1.0
2.504 1.446 7.329
-2.504 1.446 7.329
0.000 -2.891 7.329
Pu Pa Al
2 4 1
Direct
0.241 0.241 0.241
0.759 0.759 0.759
0.097 0.097 0.097
0.360 0.360 0.360
0.640 0.640 0.640
0.903 0.903 0.903
0.500 0.500 0.500
```